# 1
Simulated powder diffractogram of Ba2Tb2MgCo4O11 for a wavelength of 1.5418 Å, from a cell relaxed with PBE+U.
Lines closer than 0.1° are merged.

Crystal structure
a = 3.8172 Å, b = 7.7355 Å, c = 8.8185 Å
α = 90.00°, β = 90.00°, γ = 90.00°
Space group Pmmm (No. 47)
Inequivalent atoms, fractional coordinates:
Ba (0.0000, 0.0000, 0.1900) [2 per cell]
Tb (0.0000, 0.5000, 0.2561) [2 per cell]
Mg (0.0000, 0.0000, 0.5000) [1 per cell]
Co (0.5000, 0.2634, 0.5000) [2 per cell]
Co (0.5000, 0.2869, 0.0000) [2 per cell]
O (0.0000, 0.2508, 0.5000) [2 per cell]
O (0.0000, 0.3205, 0.0000) [2 per cell]
O (0.5000, 0.0000, 0.0000) [1 per cell]
O (0.5000, 0.0000, 0.5000) [1 per cell]
O (0.5000, 0.3073, 0.2236) [4 per cell]
O (0.5000, 0.5000, 0.5000) [1 per cell]

The 10 most intense peaks (2θ from 10° to 80°), by intensity:
32.97 deg, I 1000
30.75 deg, I 881
30.99 deg, I 806
38.94 deg, I 321
57.35 deg, I 312
47.65 deg, I 299
57.78 deg, I 292
53.53 deg, I 271
40.94 deg, I 261
40.47 deg, I 251


# 2
Simulated powder diffractogram of Ba2Mg3Tl2Co4O12 for a wavelength of 1.5418 Å, from a cell relaxed with PBE+U.
Lines closer than 0.1° are merged.

Crystal structure
a = 3.7902 Å, b = 3.7902 Å, c = 42.0354 Å
α = 90.00°, β = 90.00°, γ = 90.00°
Space group I4/mmm (No. 139)
Inequivalent atoms, fractional coordinates:
Ba (0.0000, 0.0000, 0.1550) [4 per cell]
Mg (0.0000, 0.0000, 0.0000) [2 per cell]
Mg (0.0000, 0.0000, 0.0731) [4 per cell]
Tl (0.0000, 0.0000, 0.2782) [4 per cell]
Co (0.0000, 0.0000, 0.3982) [4 per cell]
Co (0.0000, 0.0000, 0.4653) [4 per cell]
O (0.0000, 0.0000, 0.2257) [4 per cell]
O (0.0000, 0.0000, 0.3294) [4 per cell]
O (0.0000, 0.5000, 0.0338) [8 per cell]
O (0.0000, 0.5000, 0.1016) [8 per cell]

The 10 most intense peaks (2θ from 10° to 80°), by intensity:
27.83 deg, I 1000
30.37 deg, I 930
33.43 deg, I 850
48.01 deg, I 488
60.21 deg, I 450
34.13 deg, I 415
48.52 deg, I 363
57.87 deg, I 316
33.71 deg, I 306
56.40 deg, I 292


# 3
Simulated powder diffractogram of Ba2Mg2Tl2Co3O10 for a wavelength of 1.5418 Å, from a cell relaxed with PBE+U.
Lines closer than 0.1° are merged.

Crystal structure
a = 3.8678 Å, b = 3.9037 Å, c = 18.0416 Å
α = 95.71°, β = 95.37°, γ = 90.37°
Space group P1 (No. 1)
Inequivalent atoms, fractional coordinates:
Ba (0.0000, 0.0000, 0.0000) [1 per cell]
Ba (0.3262, 0.2947, 0.5575) [1 per cell]
Mg (0.0998, 0.1015, 0.1898) [1 per cell]
Mg (0.2408, 0.2079, 0.3689) [1 per cell]
Tl (0.4303, 0.4882, 0.8434) [1 per cell]
Tl (0.8783, 0.9286, 0.7134) [1 per cell]
Co (0.5598, 0.5469, 0.1206) [1 per cell]
Co (0.5893, 0.7420, 0.2782) [1 per cell]
Co (0.7829, 0.7312, 0.4363) [1 per cell]
O (0.0607, 0.5404, 0.1252) [1 per cell]
O (0.0713, 0.8159, 0.2826) [1 per cell]
O (0.2861, 0.7238, 0.4383) [1 per cell]
O (0.3852, 0.2855, 0.7246) [1 per cell]
O (0.4821, 0.4770, 0.9617) [1 per cell]
O (0.5210, 0.2632, 0.2736) [1 per cell]
O (0.5585, 0.0427, 0.1170) [1 per cell]
O (0.7866, 0.2271, 0.4322) [1 per cell]
O (0.8369, 0.8069, 0.5948) [1 per cell]
O (0.9281, 0.8332, 0.8322) [1 per cell]

The 10 most intense peaks (2θ from 10° to 80°), by intensity:
32.49 deg, I 1000
32.70 deg, I 844
35.15 deg, I 757
28.67 deg, I 673
29.15 deg, I 664
28.90 deg, I 659
28.78 deg, I 657
26.08 deg, I 534
32.06 deg, I 511
46.99 deg, I 406


# 4
Simulated powder diffractogram of Ba2MgCoWO6 for a wavelength of 1.5418 Å, from a cell relaxed with PBE+U.
Lines closer than 0.1° are merged.

Crystal structure
a = 8.1458 Å, b = 10.5832 Å, c = 5.6973 Å
α = 90.00°, β = 134.30°, γ = 90.00°
Space group C2/m (No. 12)
Inequivalent atoms, fractional coordinates:
Ba (0.0000, 0.1865, 0.0000) [4 per cell]
Mg (0.0000, 0.5000, 0.0000) [2 per cell]
Co (0.0000, 0.5000, 0.5000) [2 per cell]
W (0.0000, 0.0000, 0.5000) [2 per cell]
O (0.0000, 0.1953, 0.5000) [4 per cell]
O (0.2350, 0.5000, 0.4851) [4 per cell]
O (0.2346, 0.5000, 0.9837) [4 per cell]

The 10 most intense peaks (2θ from 10° to 80°), by intensity:
27.63 deg, I 1000
17.37 deg, I 421
29.79 deg, I 380
44.47 deg, I 380
30.67 deg, I 341
31.40 deg, I 319
43.28 deg, I 280
52.68 deg, I 171
53.63 deg, I 162
36.10 deg, I 160


# 5
Simulated powder diffractogram of Ba2MgCoWO6 for a wavelength of 1.5418 Å, from a cell relaxed with PBE+U.
Lines closer than 0.1° are merged.

Crystal structure
a = 5.9287 Å, b = 5.9295 Å, c = 6.4772 Å
α = 63.11°, β = 63.01°, γ = 61.16°
Space group P1 (No. 1)
Inequivalent atoms, fractional coordinates:
Ba (0.0000, 0.0000, 0.0000) [1 per cell]
Ba (0.4399, 0.4385, 0.6263) [1 per cell]
Mg (0.7699, 0.7689, 0.6214) [1 per cell]
Co (0.6543, 0.6527, 0.0772) [1 per cell]
W (0.2180, 0.2161, 0.3163) [1 per cell]
O (0.0281, 0.4802, 0.0492) [1 per cell]
O (0.4164, 0.9461, 0.5748) [1 per cell]
O (0.4375, 0.4344, 0.1906) [1 per cell]
O (0.4835, 0.0264, 0.0484) [1 per cell]
O (0.9473, 0.4152, 0.5746) [1 per cell]
O (0.9948, 0.9927, 0.4440) [1 per cell]

The 10 most intense peaks (2θ from 10° to 80°), by intensity:
30.15 deg, I 1000
32.10 deg, I 642
27.60 deg, I 628
29.62 deg, I 538
17.91 deg, I 382
41.05 deg, I 341
44.38 deg, I 255
27.77 deg, I 248
32.28 deg, I 217
52.89 deg, I 197


# 6
Simulated powder diffractogram of Ba5MnCo4O14 for a wavelength of 1.5418 Å, from a cell relaxed with PBE+U.
Lines closer than 0.1° are merged.

Crystal structure
a = 10.0166 Å, b = 5.7899 Å, c = 12.0897 Å
α = 90.00°, β = 90.05°, γ = 90.00°
Space group P2_1/m (No. 11)
Inequivalent atoms, fractional coordinates:
Ba (0.0799, 0.2500, 0.2713) [2 per cell]
Ba (0.0848, 0.2500, 0.9215) [2 per cell]
Ba (0.2486, 0.7500, 0.5012) [2 per cell]
Ba (0.4133, 0.2500, 0.7304) [2 per cell]
Ba (0.4182, 0.2500, 0.0777) [2 per cell]
Mn (0.2498, 0.7500, 0.2060) [2 per cell]
Co (0.0820, 0.2500, 0.6366) [2 per cell]
Co (0.2490, 0.7500, 0.7975) [2 per cell]
Co (0.2502, 0.7500, 0.9987) [2 per cell]
Co (0.4150, 0.2500, 0.3617) [2 per cell]
O (0.0815, 0.2500, 0.4926) [2 per cell]
O (0.0883, 0.7500, 0.3041) [2 per cell]
O (0.0979, 0.7500, 0.9019) [2 per cell]
O (0.1676, 0.5042, 0.6925) [4 per cell]
O (0.1764, 0.5295, 0.1046) [4 per cell]
O (0.3246, 0.5253, 0.9002) [4 per cell]
O (0.3309, 0.5057, 0.3044) [4 per cell]
O (0.3965, 0.7500, 0.1048) [2 per cell]
O (0.4148, 0.2500, 0.5054) [2 per cell]
O (0.4174, 0.7500, 0.6918) [2 per cell]

The 10 most intense peaks (2θ from 10° to 80°), by intensity:
30.91 deg, I 1000
28.42 deg, I 772
42.48 deg, I 421
53.45 deg, I 246
64.40 deg, I 213
54.97 deg, I 187
48.70 deg, I 159
23.05 deg, I 132
38.91 deg, I 125
71.85 deg, I 111


# 7
Simulated powder diffractogram of BaYMnCoO5 for a wavelength of 1.5418 Å, from a cell relaxed with PBE+U.
Lines closer than 0.1° are merged.

Crystal structure
a = 5.6066 Å, b = 5.6152 Å, c = 8.6158 Å
α = 108.95°, β = 108.86°, γ = 90.20°
Space group P1 (No. 1)
Inequivalent atoms, fractional coordinates:
Ba (0.0000, 0.0000, 0.0000) [1 per cell]
Ba (0.4958, 0.4968, 0.9998) [1 per cell]
Y (0.2539, 0.2521, 0.5133) [1 per cell]
Y (0.7566, 0.7537, 0.5121) [1 per cell]
Mn (0.1324, 0.6303, 0.2668) [1 per cell]
Mn (0.6393, 0.1373, 0.2805) [1 per cell]
Co (0.3780, 0.8742, 0.7562) [1 per cell]
Co (0.8663, 0.3718, 0.7415) [1 per cell]
O (0.0009, 0.4957, 0.0019) [1 per cell]
O (0.0984, 0.5953, 0.6911) [1 per cell]
O (0.1013, 0.0844, 0.6912) [1 per cell]
O (0.4159, 0.3988, 0.3183) [1 per cell]
O (0.4162, 0.9143, 0.3204) [1 per cell]
O (0.5010, 0.9959, 0.9988) [1 per cell]
O (0.5879, 0.5958, 0.6881) [1 per cell]
O (0.5896, 0.0856, 0.6886) [1 per cell]
O (0.9022, 0.9148, 0.3208) [1 per cell]
O (0.9036, 0.4010, 0.3229) [1 per cell]

The 10 most intense peaks (2θ from 10° to 80°), by intensity:
32.51 deg, I 1000
31.90 deg, I 428
58.37 deg, I 206
57.18 deg, I 191
57.28 deg, I 190
45.65 deg, I 159
45.82 deg, I 157
39.84 deg, I 150
47.51 deg, I 94
22.41 deg, I 88


# 8
Simulated powder diffractogram of BaYMnCoO5 for a wavelength of 1.5418 Å, from a cell relaxed with PBE+U.
Lines closer than 0.1° are merged.

Crystal structure
a = 3.9206 Å, b = 3.9206 Å, c = 7.8226 Å
α = 90.00°, β = 90.00°, γ = 90.00°
Space group P4mm (No. 99)
Inequivalent atoms, fractional coordinates:
Ba (0.0000, 0.0000, 0.0000) [1 per cell]
Y (0.0000, 0.0000, 0.5213) [1 per cell]
Mn (0.5000, 0.5000, 0.2799) [1 per cell]
Co (0.5000, 0.5000, 0.7484) [1 per cell]
O (0.0000, 0.5000, 0.3364) [2 per cell]
O (0.0000, 0.5000, 0.7005) [2 per cell]
O (0.5000, 0.5000, 0.0204) [1 per cell]

The 10 most intense peaks (2θ from 10° to 80°), by intensity:
32.32 deg, I 1000
57.64 deg, I 409
46.32 deg, I 214
67.63 deg, I 145
76.91 deg, I 103
39.86 deg, I 102
22.70 deg, I 84
34.36 deg, I 70
46.43 deg, I 67
77.09 deg, I 44


# 9
Simulated powder diffractogram of BaYMnCoO5 for a wavelength of 1.5418 Å, from a cell relaxed with PBE+U.
Lines closer than 0.1° are merged.

Crystal structure
a = 3.9367 Å, b = 7.8368 Å, c = 8.7071 Å
α = 116.67°, β = 90.07°, γ = 90.02°
Space group P1 (No. 1)
Inequivalent atoms, fractional coordinates:
Ba (0.0000, 0.0000, 0.0000) [1 per cell]
Ba (0.0043, 0.4921, 0.9928) [1 per cell]
Y (0.0019, 0.2528, 0.5162) [1 per cell]
Y (0.9994, 0.7533, 0.5167) [1 per cell]
Mn (0.4995, 0.3827, 0.2728) [1 per cell]
Mn (0.5009, 0.8816, 0.2742) [1 per cell]
Co (0.4993, 0.6227, 0.7496) [1 per cell]
Co (0.5089, 0.1170, 0.7446) [1 per cell]
O (0.9996, 0.4024, 0.3136) [1 per cell]
O (0.0009, 0.9057, 0.3212) [1 per cell]
O (0.4948, 0.2506, 0.0090) [1 per cell]
O (0.4977, 0.8486, 0.6929) [1 per cell]
O (0.4989, 0.3307, 0.6907) [1 per cell]
O (0.5005, 0.1606, 0.3294) [1 per cell]
O (0.4998, 0.6611, 0.3329) [1 per cell]
O (0.5001, 0.7489, 0.0091) [1 per cell]
O (0.9964, 0.0925, 0.6958) [1 per cell]
O (0.9992, 0.5834, 0.6794) [1 per cell]

The 10 most intense peaks (2θ from 10° to 80°), by intensity:
32.41 deg, I 1000
32.27 deg, I 882
57.50 deg, I 250
57.65 deg, I 243
57.86 deg, I 210
46.12 deg, I 204
46.34 deg, I 200
39.88 deg, I 192
46.70 deg, I 126
67.45 deg, I 118


# 10
Simulated powder diffractogram of BaYMnCoO5 for a wavelength of 1.5418 Å, from a cell relaxed with PBE+U.
Lines closer than 0.1° are merged.

Crystal structure
a = 5.5906 Å, b = 5.5924 Å, c = 7.7706 Å
α = 90.01°, β = 90.03°, γ = 91.11°
Space group P1 (No. 1)
Inequivalent atoms, fractional coordinates:
Ba (0.0000, 0.0000, 0.0000) [1 per cell]
Ba (0.4972, 0.5029, 0.0007) [1 per cell]
Y (0.0005, 0.0018, 0.4894) [1 per cell]
Y (0.4985, 0.5036, 0.4895) [1 per cell]
Mn (0.9996, 0.5028, 0.7163) [1 per cell]
Mn (0.5002, 0.0033, 0.7361) [1 per cell]
Co (0.5001, 0.0032, 0.2534) [1 per cell]
Co (0.9938, 0.4969, 0.2472) [1 per cell]
O (0.0015, 0.5045, 0.9885) [1 per cell]
O (0.2401, 0.2626, 0.6754) [1 per cell]
O (0.2415, 0.7446, 0.6651) [1 per cell]
O (0.2426, 0.2617, 0.3070) [1 per cell]
O (0.2679, 0.7713, 0.3066) [1 per cell]
O (0.5006, 0.0036, 0.0023) [1 per cell]
O (0.7342, 0.2373, 0.3071) [1 per cell]
O (0.7582, 0.2614, 0.6652) [1 per cell]
O (0.7582, 0.7456, 0.3071) [1 per cell]
O (0.7595, 0.7434, 0.6755) [1 per cell]

The 10 most intense peaks (2θ from 10° to 80°), by intensity:
32.15 deg, I 1000
32.46 deg, I 996
32.02 deg, I 833
57.80 deg, I 428
56.95 deg, I 383
57.55 deg, I 362
45.44 deg, I 315
46.38 deg, I 294
39.72 deg, I 290
46.76 deg, I 189


# 11
Simulated powder diffractogram of BaYMnCoO5 for a wavelength of 1.5418 Å, from a cell relaxed with PBE+U.
Lines closer than 0.1° are merged.

Crystal structure
a = 5.5597 Å, b = 5.5597 Å, c = 7.7863 Å
α = 90.00°, β = 90.00°, γ = 90.00°
Space group P4/nmm (No. 129, origin choice 2)
Inequivalent atoms, fractional coordinates:
Ba (0.2500, 0.7500, 0.0000) [2 per cell]
Y (0.2500, 0.7500, 0.5000) [2 per cell]
Mn (0.2500, 0.2500, 0.2668) [2 per cell]
Co (0.2500, 0.2500, 0.7345) [2 per cell]
O (0.0040, 0.0040, 0.3170) [8 per cell]
O (0.2500, 0.2500, 0.0026) [2 per cell]

The 10 most intense peaks (2θ from 10° to 80°), by intensity:
32.36 deg, I 1000
32.20 deg, I 412
57.52 deg, I 372
46.18 deg, I 303
57.83 deg, I 214
39.85 deg, I 148
76.70 deg, I 147
67.75 deg, I 122
46.66 deg, I 97
67.37 deg, I 88